# RuRh
Calculated X-ray diffraction stick pattern, Cu Kα (λ = 1.5418 Å). Input: a cell relaxed with PBE.

```
data_RuRh
_space_group_name_H-M_alt 'P 1'
_space_group_IT_number 1
_space_group_name_Hall 'P 1'
_cell_length_a 2.733
_cell_length_b 2.733
_cell_length_c 4.338
_cell_angle_alpha 90.00
_cell_angle_beta 90.00
_cell_angle_gamma 120.00
loop_
_atom_site_label
_atom_site_type_symbol
_atom_site_fract_x
_atom_site_fract_y
_atom_site_fract_z
Ru1 Ru 0.000 0.000 0.000
Rh1 Rh 0.667 0.333 0.500
```

Top 8 peaks for 2θ = 15–90°, most intense first:
2theta, Rel. int.
43.56, 100
41.64, 25
38.01, 25
83.63, 19
77.33, 18
68.68, 17
57.64, 14
84.93, 14

=====

# RuRhS4
Calculated X-ray diffraction stick pattern, Cu Kα (λ = 1.5418 Å). Input: a cell relaxed with PBE.

```
data_RuRhS4
_space_group_name_H-M_alt 'P 1'
_space_group_IT_number 1
_space_group_name_Hall 'P 1'
_cell_length_a 5.697
_cell_length_b 5.707
_cell_length_c 5.709
_cell_angle_alpha 90.00
_cell_angle_beta 90.06
_cell_angle_gamma 90.00
loop_
_atom_site_label
_atom_site_type_symbol
_atom_site_fract_x
_atom_site_fract_y
_atom_site_fract_z
Ru1 Ru 0.000 0.000 0.000
Ru2 Ru 0.000 0.500 0.500
Rh1 Rh 0.500 0.000 0.500
Rh2 Rh 0.500 0.500 0.000
S1 S 0.110 0.117 0.617
S2 S 0.110 0.383 0.117
S3 S 0.381 0.613 0.612
S4 S 0.381 0.887 0.112
S5 S 0.619 0.113 0.888
S6 S 0.619 0.387 0.388
S7 S 0.890 0.617 0.883
S8 S 0.890 0.883 0.383
```

Top 8 peaks for 2θ = 15–90°, most intense first:
2theta, Rel. int.
31.37, 100
27.08, 88
53.25, 87
44.95, 63
89.16, 23
55.83, 22
35.18, 21
38.67, 18

=====

# TbSi2RuRh
Calculated X-ray diffraction stick pattern, Cu Kα (λ = 1.5418 Å). Input: a cell relaxed with PBE.

```
data_TbSi2RuRh
_space_group_name_H-M_alt 'P 1'
_space_group_IT_number 1
_space_group_name_Hall 'P 1'
_cell_length_a 5.705
_cell_length_b 5.705
_cell_length_c 5.705
_cell_angle_alpha 137.59
_cell_angle_beta 137.59
_cell_angle_gamma 61.53
loop_
_atom_site_label
_atom_site_type_symbol
_atom_site_fract_x
_atom_site_fract_y
_atom_site_fract_z
Tb1 Tb 0.000 0.000 0.000
Si1 Si 0.373 0.373 0.000
Si2 Si 0.627 0.627 0.000
Ru1 Ru 0.750 0.250 0.500
Rh1 Rh 0.250 0.750 0.500
```

Top 8 peaks for 2θ = 15–90°, most intense first:
2theta, Rel. int.
35.81, 100
43.87, 38
35.02, 32
23.39, 30
75.36, 22
65.47, 17
58.47, 17
36.67, 17

=====

# Rh2S3
Calculated X-ray diffraction stick pattern, Cu Kα (λ = 1.5418 Å). Input: a cell relaxed with PBE.

```
data_Rh2S3
_space_group_name_H-M_alt 'P 1'
_space_group_IT_number 1
_space_group_name_Hall 'P 1'
_cell_length_a 6.345
_cell_length_b 6.345
_cell_length_c 6.345
_cell_angle_alpha 56.69
_cell_angle_beta 56.69
_cell_angle_gamma 56.69
loop_
_atom_site_label
_atom_site_type_symbol
_atom_site_fract_x
_atom_site_fract_y
_atom_site_fract_z
Rh1 Rh 0.150 0.150 0.150
Rh2 Rh 0.350 0.350 0.350
Rh3 Rh 0.650 0.650 0.650
Rh4 Rh 0.850 0.850 0.850
S1 S 0.049 0.750 0.451
S2 S 0.250 0.549 0.951
S3 S 0.451 0.049 0.750
S4 S 0.549 0.951 0.250
S5 S 0.750 0.451 0.049
S6 S 0.951 0.250 0.549
```

Top 8 peaks for 2θ = 15–90°, most intense first:
2theta, Rel. int.
28.20, 100
45.56, 96
29.65, 93
52.62, 58
20.35, 55
41.38, 51
51.73, 47
34.22, 32

=====

# Rh2S3
Calculated X-ray diffraction stick pattern, Cu Kα (λ = 1.5418 Å). Input: a cell relaxed with PBE.

```
data_Rh2S3
_space_group_name_H-M_alt 'P 1'
_space_group_IT_number 1
_space_group_name_Hall 'P 1'
_cell_length_a 8.562
_cell_length_b 6.055
_cell_length_c 6.200
_cell_angle_alpha 90.00
_cell_angle_beta 90.00
_cell_angle_gamma 90.00
loop_
_atom_site_label
_atom_site_type_symbol
_atom_site_fract_x
_atom_site_fract_y
_atom_site_fract_z
Rh1 Rh 0.107 0.249 0.032
Rh2 Rh 0.107 0.751 0.532
Rh3 Rh 0.393 0.251 0.532
Rh4 Rh 0.393 0.749 0.032
Rh5 Rh 0.607 0.251 0.968
Rh6 Rh 0.607 0.749 0.468
Rh7 Rh 0.893 0.249 0.468
Rh8 Rh 0.893 0.751 0.968
S1 S 0.000 0.454 0.750
S2 S 0.000 0.546 0.250
S3 S 0.151 0.110 0.393
S4 S 0.151 0.890 0.893
S5 S 0.349 0.390 0.893
S6 S 0.349 0.610 0.393
S7 S 0.500 0.046 0.250
S8 S 0.500 0.954 0.750
S9 S 0.651 0.390 0.607
S10 S 0.651 0.610 0.107
S11 S 0.849 0.110 0.107
S12 S 0.849 0.890 0.607
```

Top 8 peaks for 2θ = 15–90°, most intense first:
2theta, Rel. int.
29.33, 100
52.24, 39
41.70, 31
28.80, 28
29.51, 25
51.36, 24
51.91, 16
52.35, 14

=====

# SbRhS
Calculated X-ray diffraction stick pattern, Cu Kα (λ = 1.5418 Å). Input: a cell relaxed with PBE.

```
data_SbRhS
_space_group_name_H-M_alt 'P 1'
_space_group_IT_number 1
_space_group_name_Hall 'P 1'
_cell_length_a 6.102
_cell_length_b 6.102
_cell_length_c 6.102
_cell_angle_alpha 90.00
_cell_angle_beta 90.00
_cell_angle_gamma 90.00
loop_
_atom_site_label
_atom_site_type_symbol
_atom_site_fract_x
_atom_site_fract_y
_atom_site_fract_z
Sb1 Sb 0.121 0.121 0.121
Sb2 Sb 0.379 0.879 0.621
Sb3 Sb 0.621 0.379 0.879
Sb4 Sb 0.879 0.621 0.379
Rh1 Rh 0.013 0.513 0.987
Rh2 Rh 0.487 0.487 0.487
Rh3 Rh 0.513 0.987 0.013
Rh4 Rh 0.987 0.013 0.513
S1 S 0.118 0.382 0.618
S2 S 0.382 0.618 0.118
S3 S 0.618 0.118 0.382
S4 S 0.882 0.882 0.882
```

Top 8 peaks for 2θ = 15–90°, most intense first:
2theta, Rel. int.
32.82, 100
49.55, 88
36.06, 55
29.27, 51
41.88, 31
56.43, 31
82.07, 27
25.28, 22

=====

# Tl2Rh3S2
Calculated X-ray diffraction stick pattern, Cu Kα (λ = 1.5418 Å). Input: a cell relaxed with PBE.

```
data_Tl2Rh3S2
_space_group_name_H-M_alt 'P 1'
_space_group_IT_number 1
_space_group_name_Hall 'P 1'
_cell_length_a 5.799
_cell_length_b 5.799
_cell_length_c 5.799
_cell_angle_alpha 59.51
_cell_angle_beta 59.51
_cell_angle_gamma 59.51
loop_
_atom_site_label
_atom_site_type_symbol
_atom_site_fract_x
_atom_site_fract_y
_atom_site_fract_z
Tl1 Tl 0.000 0.000 0.000
Tl2 Tl 0.500 0.500 0.500
Rh1 Rh 0.000 0.500 0.500
Rh2 Rh 0.500 0.000 0.500
Rh3 Rh 0.500 0.500 0.000
S1 S 0.221 0.221 0.221
S2 S 0.779 0.779 0.779
```

Top 8 peaks for 2θ = 15–90°, most intense first:
2theta, Rel. int.
38.25, 100
44.35, 89
31.07, 52
21.75, 48
30.84, 48
18.67, 38
37.86, 38
64.78, 30

=====

# URhS3
Calculated X-ray diffraction stick pattern, Cu Kα (λ = 1.5418 Å). Input: a cell relaxed with PBE.

```
data_URhS3
_space_group_name_H-M_alt 'P 1'
_space_group_IT_number 1
_space_group_name_Hall 'P 1'
_cell_length_a 7.106
_cell_length_b 8.451
_cell_length_c 6.083
_cell_angle_alpha 90.00
_cell_angle_beta 90.00
_cell_angle_gamma 90.00
loop_
_atom_site_label
_atom_site_type_symbol
_atom_site_fract_x
_atom_site_fract_y
_atom_site_fract_z
U1 U 0.125 0.250 0.066
U2 U 0.375 0.750 0.566
U3 U 0.625 0.250 0.434
U4 U 0.875 0.750 0.934
Rh1 Rh 0.000 0.000 0.500
Rh2 Rh 0.000 0.500 0.500
Rh3 Rh 0.500 0.000 0.000
Rh4 Rh 0.500 0.500 0.000
S1 S 0.057 0.750 0.335
S2 S 0.179 0.554 0.843
S3 S 0.179 0.946 0.843
S4 S 0.321 0.054 0.343
S5 S 0.321 0.446 0.343
S6 S 0.443 0.250 0.835
S7 S 0.557 0.750 0.165
S8 S 0.679 0.554 0.657
S9 S 0.679 0.946 0.657
S10 S 0.821 0.054 0.157
S11 S 0.821 0.446 0.157
S12 S 0.943 0.250 0.665
```

Top 8 peaks for 2θ = 15–90°, most intense first:
2theta, Rel. int.
28.63, 100
21.92, 76
40.88, 58
27.23, 39
37.39, 32
33.76, 31
42.80, 24
40.47, 23

=====

# Tb4Sb6Rh7
Calculated X-ray diffraction stick pattern, Cu Kα (λ = 1.5418 Å). Input: a cell relaxed with PBE.

```
data_Tb4Sb6Rh7
_space_group_name_H-M_alt 'P 1'
_space_group_IT_number 1
_space_group_name_Hall 'P 1'
_cell_length_a 7.628
_cell_length_b 7.628
_cell_length_c 7.628
_cell_angle_alpha 109.47
_cell_angle_beta 109.47
_cell_angle_gamma 109.47
loop_
_atom_site_label
_atom_site_type_symbol
_atom_site_fract_x
_atom_site_fract_y
_atom_site_fract_z
Tb1 Tb 0.000 0.000 0.500
Tb2 Tb 0.000 0.500 0.000
Tb3 Tb 0.500 0.000 0.000
Tb4 Tb 0.500 0.500 0.500
Sb1 Sb 0.000 0.317 0.317
Sb2 Sb 0.000 0.683 0.683
Sb3 Sb 0.317 0.000 0.317
Sb4 Sb 0.317 0.317 0.000
Sb5 Sb 0.683 0.000 0.683
Sb6 Sb 0.683 0.683 0.000
Rh1 Rh 0.000 0.000 0.000
Rh2 Rh 0.250 0.500 0.750
Rh3 Rh 0.250 0.750 0.500
Rh4 Rh 0.500 0.250 0.750
Rh5 Rh 0.500 0.750 0.250
Rh6 Rh 0.750 0.250 0.500
Rh7 Rh 0.750 0.500 0.250
```

Top 8 peaks for 2θ = 15–90°, most intense first:
2theta, Rel. int.
35.30, 100
40.99, 61
59.35, 29
70.98, 23
28.66, 19
43.59, 18
48.47, 17
38.23, 15

=====

# Ti5Sb2Rh
Calculated X-ray diffraction stick pattern, Cu Kα (λ = 1.5418 Å). Input: a cell relaxed with PBE.

```
data_Ti5Sb2Rh
_space_group_name_H-M_alt 'P 1'
_space_group_IT_number 1
_space_group_name_Hall 'P 1'
_cell_length_a 7.869
_cell_length_b 7.869
_cell_length_c 7.869
_cell_angle_alpha 96.36
_cell_angle_beta 96.36
_cell_angle_gamma 141.13
loop_
_atom_site_label
_atom_site_type_symbol
_atom_site_fract_x
_atom_site_fract_y
_atom_site_fract_z
Ti1 Ti 0.073 0.789 0.863
Ti2 Ti 0.211 0.073 0.284
Ti3 Ti 0.250 0.750 0.500
Ti4 Ti 0.289 0.573 0.863
Ti5 Ti 0.427 0.289 0.716
Ti6 Ti 0.573 0.711 0.284
Ti7 Ti 0.711 0.427 0.137
Ti8 Ti 0.750 0.250 0.500
Ti9 Ti 0.789 0.927 0.716
Ti10 Ti 0.927 0.211 0.137
Sb1 Sb 0.163 0.337 0.500
Sb2 Sb 0.337 0.837 0.173
Sb3 Sb 0.663 0.163 0.827
Sb4 Sb 0.837 0.663 0.500
Rh1 Rh 0.250 0.250 0.000
Rh2 Rh 0.750 0.750 0.000
```

Top 8 peaks for 2θ = 15–90°, most intense first:
2theta, Rel. int.
39.36, 100
38.39, 99
25.49, 62
50.76, 42
49.15, 27
26.86, 27
74.60, 23
64.76, 21

=====

# TmSbRh
Calculated X-ray diffraction stick pattern, Cu Kα (λ = 1.5418 Å). Input: a cell relaxed with PBE.

```
data_TmSbRh
_space_group_name_H-M_alt 'P 1'
_space_group_IT_number 1
_space_group_name_Hall 'P 1'
_cell_length_a 7.095
_cell_length_b 4.551
_cell_length_c 7.810
_cell_angle_alpha 90.00
_cell_angle_beta 90.00
_cell_angle_gamma 90.00
loop_
_atom_site_label
_atom_site_type_symbol
_atom_site_fract_x
_atom_site_fract_y
_atom_site_fract_z
Tm1 Tm 0.009 0.250 0.198
Tm2 Tm 0.491 0.750 0.698
Tm3 Tm 0.509 0.250 0.302
Tm4 Tm 0.991 0.750 0.802
Sb1 Sb 0.189 0.250 0.592
Sb2 Sb 0.311 0.750 0.092
Sb3 Sb 0.689 0.250 0.908
Sb4 Sb 0.811 0.750 0.408
Rh1 Rh 0.202 0.750 0.418
Rh2 Rh 0.298 0.250 0.918
Rh3 Rh 0.702 0.750 0.082
Rh4 Rh 0.798 0.250 0.582
```

Top 8 peaks for 2θ = 15–90°, most intense first:
2theta, Rel. int.
34.04, 100
39.87, 78
32.75, 51
39.60, 42
34.15, 36
65.27, 24
53.27, 21
57.42, 17